Simulated X-ray diffraction stick pattern
Compound: Ac2ErCuO5
Radiation: CuKα
Structure: a cell relaxed with GGA-PBE

Structural model:
```
data_Ac2ErCuO5
_cell_length_a 3.816
_cell_length_b 3.816
_cell_length_c 9.454
_cell_angle_alpha 90.00
_cell_angle_beta 90.00
_cell_angle_gamma 90.00
_symmetry_space_group_name_H-M 'P 4/m m m'
_symmetry_Int_Tables_number 123
_symmetry_space_group_name_Hall '-P 4 2'
loop_
_atom_site_label
_atom_site_fract_x
_atom_site_fract_y
_atom_site_fract_z
Ac1 0.000 0.000 0.197
Er1 0.500 0.500 0.500
Cu1 0.500 0.500 0.000
O1 0.000 0.000 0.500
O2 0.000 0.500 0.000
O3 0.500 0.500 0.273
```

Peak list (10 most intense, 2θ from 10° to 90°, low angle first)
d_spacing, I (rel.), hkl
3.538, 28, 1 0 1
3.151, 19, 0 0 3
2.969, 100, 1 0 2
2.698, 66, 1 1 0
2.430, 19, 1 0 3
2.050, 31, 1 1 3
1.908, 28, 2 0 0
1.694, 21, 1 0 5
1.605, 34, 2 1 2
1.267, 16, 2 1 5

***

Simulated X-ray diffraction stick pattern
Compound: Ac2ErCuPd6
Radiation: CuKα
Structure: a cell relaxed with GGA-PBE

Structural model:
```
data_Ac2ErCuPd6
_cell_length_a 5.8417
_cell_length_b 5.8417
_cell_length_c 25.0407
_cell_angle_alpha 90.00
_cell_angle_beta 90.00
_cell_angle_gamma 120.00
_symmetry_space_group_name_H-M 'R -3 m'
_symmetry_Int_Tables_number 166
_symmetry_space_group_name_Hall '-R 3 2"'
loop_
_atom_site_label
_atom_site_fract_x
_atom_site_fract_y
_atom_site_fract_z
Ac1 0.0000 0.0000 0.2101
Er1 0.0000 0.0000 0.0000
Cu1 0.0000 0.0000 0.5000
Pd1 0.0036 0.5018 0.7573
```

Peak list (10 most intense, 2θ from 10° to 90°, low angle first)
d_spacing, I (rel.), hkl
8.347, 49, 0 0 3
3.559, 50, 0 1 5
2.921, 42, 1 1 0
2.479, 61, 2 0 2
2.393, 29, 1 1 6
2.345, 100, 0 2 4
2.258, 32, 2 0 5
2.244, 44, 1 0 10
1.686, 30, 0 1 14
1.460, 32, 2 2 0